No. 1
Diffraction record for CaSn. The powder X-ray diffraction pattern is simulated, not measured: it uses a DFT-relaxed cell (PBE, the Materials Project) and a wavelength of 1.5418 Å.
Lines closer than 0.1° are merged.

Largest 8 diffraction maxima, sorted by position, 10 to 90 degrees two-theta:
15.3 deg, I = 27
19.9 deg, I = 58
25.5 deg, I = 23
28.6 deg, I = 77
36.1 deg, I = 100
37.2 deg, I = 28
37.3 deg, I = 29
41.1 deg, I = 22

Structure:
Cell lengths 6.2822, 6.2822, 4.3883 Å; angles 90.00, 90.00, 134.83 degrees
Fractional positions:
Ca (0.1345, 0.8655, 0.7500)
Ca (0.8655, 0.1345, 0.2500)
Sn (0.4148, 0.5852, 0.7500)
Sn (0.5852, 0.4148, 0.2500)

---

No. 2
Diffraction record for Ca3Sn. The powder X-ray diffraction pattern is simulated, not measured: it uses a DFT-relaxed cell (PBE, the Materials Project) and a wavelength of 1.5418 Å.
Lines closer than 0.1° are merged.

Largest 8 diffraction maxima, sorted by position, 10 to 90 degrees two-theta:
17.7 deg, I = 27
25.1 deg, I = 24
30.8 deg, I = 100
35.8 deg, I = 50
40.1 deg, I = 15
51.5 deg, I = 34
61.2 deg, I = 40
84.0 deg, I = 16

Structure:
Cell lengths 5.0222, 5.0222, 5.0222 Å; angles 90.00, 90.00, 90.00 degrees
Fractional positions:
Ca (0.0000, 0.0000, 0.5000)
Ca (0.0000, 0.5000, 0.0000)
Ca (0.5000, 0.0000, 0.0000)
Sn (0.5000, 0.5000, 0.5000)

---

No. 3
Diffraction record for CaZnSn. The powder X-ray diffraction pattern is simulated, not measured: it uses a DFT-relaxed cell (PBE, the Materials Project) and a wavelength of 1.5418 Å.
Lines closer than 0.1° are merged.

Largest 8 diffraction maxima, sorted by position, 10 to 90 degrees two-theta:
23.5 deg, I = 31
24.8 deg, I = 43
32.3 deg, I = 89
38.3 deg, I = 100
42.1 deg, I = 46
45.4 deg, I = 35
50.9 deg, I = 24
65.4 deg, I = 22

Structure:
Cell lengths 4.7057, 4.7057, 7.5657 Å; angles 90.00, 90.00, 120.00 degrees
Fractional positions:
Ca (0.0000, 0.0000, 0.0000)
Ca (0.0000, 0.0000, 0.5000)
Zn (0.3333, 0.6667, 0.1912)
Zn (0.6667, 0.3333, 0.6912)
Sn (0.3333, 0.6667, 0.7817)
Sn (0.6667, 0.3333, 0.2817)

---

No. 4
Diffraction record for CaZnSn. The powder X-ray diffraction pattern is simulated, not measured: it uses a DFT-relaxed cell (PBE, the Materials Project) and a wavelength of 1.5418 Å.
Lines closer than 0.1° are merged.

Largest 8 diffraction maxima, sorted by position, 10 to 90 degrees two-theta:
21.7 deg, I = 47
31.3 deg, I = 100
39.0 deg, I = 79
44.3 deg, I = 18
45.0 deg, I = 44
50.8 deg, I = 25
60.4 deg, I = 42
65.8 deg, I = 22

Structure:
Cell lengths 4.6233, 4.6233, 8.1843 Å; angles 90.00, 90.00, 120.00 degrees
Fractional positions:
Ca (0.0000, 0.0000, 0.0000)
Ca (0.0000, 0.0000, 0.5000)
Zn (0.3333, 0.6667, 0.2500)
Zn (0.6667, 0.3333, 0.7500)
Sn (0.3333, 0.6667, 0.7500)
Sn (0.6667, 0.3333, 0.2500)

---

No. 5
Diffraction record for SrCa. The powder X-ray diffraction pattern is simulated, not measured: it uses a DFT-relaxed cell (PBE, the Materials Project) and a wavelength of 1.5418 Å.
Lines closer than 0.1° are merged.

Largest 8 diffraction maxima, sorted by position, 10 to 90 degrees two-theta:
25.0 deg, I = 30
27.1 deg, I = 24
28.5 deg, I = 100
37.2 deg, I = 21
44.0 deg, I = 19
48.7 deg, I = 22
52.4 deg, I = 22
53.2 deg, I = 16

Structure:
Cell lengths 4.1160, 4.1160, 6.5818 Å; angles 90.00, 90.00, 120.00 degrees
Fractional positions:
Sr (0.0000, 0.0000, 0.0000)
Ca (0.3333, 0.6667, 0.5000)

---

No. 6
Diffraction record for SrCa3. The powder X-ray diffraction pattern is simulated, not measured: it uses a DFT-relaxed cell (PBE, the Materials Project) and a wavelength of 1.5418 Å.
Lines closer than 0.1° are merged.

Largest 8 diffraction maxima, sorted by position, 10 to 90 degrees two-theta:
15.8 deg, I = 11
27.5 deg, I = 100
31.8 deg, I = 50
45.6 deg, I = 35
54.1 deg, I = 41
56.7 deg, I = 12
73.4 deg, I = 16
75.6 deg, I = 14

Structure:
Cell lengths 5.6257, 5.6257, 5.6257 Å; angles 90.00, 90.00, 90.00 degrees
Fractional positions:
Sr (0.0000, 0.0000, 0.0000)
Ca (0.0000, 0.5000, 0.5000)
Ca (0.5000, 0.0000, 0.5000)
Ca (0.5000, 0.5000, 0.0000)

---

No. 7
Diffraction record for SrCa3. The powder X-ray diffraction pattern is simulated, not measured: it uses a DFT-relaxed cell (PBE, the Materials Project) and a wavelength of 1.5418 Å.
Lines closer than 0.1° are merged.

Largest 8 diffraction maxima, sorted by position, 10 to 90 degrees two-theta:
17.5 deg, I = 12
27.4 deg, I = 100
31.6 deg, I = 34
31.9 deg, I = 16
45.3 deg, I = 12
45.5 deg, I = 23
53.7 deg, I = 28
54.2 deg, I = 13

Structure:
Cell lengths 6.8890, 6.8890, 6.8890 Å; angles 131.43, 131.43, 71.13 degrees
Fractional positions:
Sr (0.0000, 0.0000, 0.0000)
Ca (0.2500, 0.7500, 0.5000)
Ca (0.5000, 0.5000, 0.0000)
Ca (0.7500, 0.2500, 0.5000)

---

No. 8
Diffraction record for SrCa. The powder X-ray diffraction pattern is simulated, not measured: it uses a DFT-relaxed cell (PBE, the Materials Project) and a wavelength of 1.5418 Å.
Lines closer than 0.1° are merged.

Largest 8 diffraction maxima, sorted by position, 10 to 90 degrees two-theta:
14.1 deg, I = 13
27.4 deg, I = 100
27.9 deg, I = 24
28.4 deg, I = 23
40.2 deg, I = 17
49.1 deg, I = 19
49.7 deg, I = 18
56.6 deg, I = 12

Structure:
Cell lengths 3.9773, 3.9773, 6.2900 Å; angles 90.00, 90.00, 107.04 degrees
Fractional positions:
Sr (0.0000, 0.0000, 0.0000)
Ca (0.5000, 0.5000, 0.5000)

---

No. 9
Diffraction record for SrCa3. The powder X-ray diffraction pattern is simulated, not measured: it uses a DFT-relaxed cell (PBE, the Materials Project) and a wavelength of 1.5418 Å.
Lines closer than 0.1° are merged.

Largest 8 diffraction maxima, sorted by position, 10 to 90 degrees two-theta:
17.3 deg, I = 9
28.4 deg, I = 100
33.5 deg, I = 6
40.6 deg, I = 18
50.3 deg, I = 37
58.8 deg, I = 11
66.6 deg, I = 15
81.0 deg, I = 17

Structure:
Cell lengths 6.2808, 6.2808, 6.2808 Å; angles 60.00, 60.00, 60.00 degrees
Fractional positions:
Sr (0.0000, 0.0000, 0.0000)
Ca (0.2500, 0.2500, 0.2500)
Ca (0.5000, 0.5000, 0.5000)
Ca (0.7500, 0.7500, 0.7500)

---

No. 10
Diffraction record for SrCa3. The powder X-ray diffraction pattern is simulated, not measured: it uses a DFT-relaxed cell (PBE, the Materials Project) and a wavelength of 1.5418 Å.
Lines closer than 0.1° are merged.

Largest 8 diffraction maxima, sorted by position, 10 to 90 degrees two-theta:
25.8 deg, I = 23
27.1 deg, I = 27
29.2 deg, I = 100
37.8 deg, I = 16
45.5 deg, I = 18
49.2 deg, I = 22
53.8 deg, I = 22
55.0 deg, I = 15

Structure:
Cell lengths 7.9729, 7.9729, 6.5788 Å; angles 90.00, 90.00, 120.00 degrees
Fractional positions:
Sr (0.3333, 0.6667, 0.2500)
Sr (0.6667, 0.3333, 0.7500)
Ca (0.1643, 0.3285, 0.7500)
Ca (0.1643, 0.8357, 0.7500)
Ca (0.3285, 0.1643, 0.2500)
Ca (0.6715, 0.8357, 0.7500)
Ca (0.8357, 0.1643, 0.2500)
Ca (0.8357, 0.6715, 0.2500)

---

No. 11
Diffraction record for SrCa. The powder X-ray diffraction pattern is simulated, not measured: it uses a DFT-relaxed cell (PBE, the Materials Project) and a wavelength of 1.5418 Å.
Lines closer than 0.1° are merged.

Largest 8 diffraction maxima, sorted by position, 10 to 90 degrees two-theta:
13.3 deg, I = 14
26.7 deg, I = 100
31.0 deg, I = 51
44.4 deg, I = 36
52.6 deg, I = 43
55.1 deg, I = 12
71.2 deg, I = 13
73.3 deg, I = 16

Structure:
Cell lengths 7.0651, 7.0651, 7.0651 Å; angles 33.61, 33.61, 33.61 degrees
Fractional positions:
Sr (0.0000, 0.0000, 0.0000)
Ca (0.5000, 0.5000, 0.5000)